Structure and simulated XRD peak list of Ac2Ag2Pb (a cell relaxed with PBE; a wavelength of 1.5418 Å).

Top 6 peaks for 10° ≤ 2θ ≤ 90°, sorted by position:
index  2θ (°)  I_rel
1 1 2  28.46  56
1 1 -3  29.09  84
3 1 -2  29.48  49
4 0 -2  29.83  38
3 1 1  35.11  100
0 2 0  37.17  52

```
data_Ac2Ag2Pb
_cell_length_a 11.9971
_cell_length_b 4.8382
_cell_length_c 12.0145
_cell_angle_alpha 90.00
_cell_angle_beta 116.64
_cell_angle_gamma 90.00
_space_group_name_H-M_alt 'C 1 2/m 1'
_space_group_IT_number 12
loop_
_space_group_symop_operation_xyz
'x,y,z'
'-x,-y,-z'
'-x,y,-z'
'x,-y,z'
'x+1/2,y+1/2,z'
'-x+1/2,-y+1/2,-z'
'-x+1/2,y+1/2,-z'
'x+1/2,-y+1/2,z'
loop_
_atom_site_label
_atom_site_fract_x
_atom_site_fract_y
_atom_site_fract_z
_atom_site_occupancy
Ac1 0.0193 0.0000 0.3417 1
Ac2 0.1905 0.0000 0.1052 1
Ag1 0.0300 0.5000 0.8948 1
Ag2 0.1329 0.5000 0.5581 1
Pb1 0.2218 0.5000 0.3364 1
```

Structure and simulated XRD peak list of Tm11Ge10 (a cell relaxed with PBE; a wavelength of 1.5418 Å).

Top 6 peaks for 10° ≤ 2θ ≤ 90°, sorted by position:
index  2θ (°)  I_rel
4 0 0  33.19  36
2 1 5  33.39  100
3 2 3  34.28  84
4 0 2  35.06  39
3 3 0  35.27  56
3 0 5  37.42  44

```
data_Tm11Ge10
_cell_length_a 10.7965
_cell_length_b 10.7965
_cell_length_c 16.1347
_cell_angle_alpha 90.00
_cell_angle_beta 90.00
_cell_angle_gamma 90.00
_space_group_name_H-M_alt 'I 4/m m m'
_space_group_IT_number 139
_space_group_name_Hall '-I 4 2'
loop_
_atom_site_label
_atom_site_fract_x
_atom_site_fract_y
_atom_site_fract_z
_atom_site_occupancy
Tm1 0.0000 0.0000 0.1605 1
Tm2 0.0000 0.2518 0.3103 1
Tm3 0.0000 0.3257 0.1022 1
Tm4 0.1762 0.1762 0.5000 1
Ge1 0.0000 0.0000 0.3865 1
Ge2 0.0000 0.3582 0.5000 1
Ge3 0.0000 0.5000 0.2500 1
Ge4 0.1216 0.1216 0.0000 1
Ge5 0.2089 0.2089 0.1804 1
```

Structure and simulated XRD peak list of Sm5Rh4 (a cell relaxed with PBE; a wavelength of 1.5418 Å).

Top 6 peaks for 10° ≤ 2θ ≤ 90°, sorted by position:
index  2θ (°)  I_rel
1 3 2  32.00  100
2 3 1  32.29  97
0 4 2  33.78  50
2 1 2  34.14  38
1 1 3  37.86  49
3 0 1  38.01  68

```
data_Sm5Rh4
_cell_length_a 7.4710
_cell_length_b 14.7746
_cell_length_c 7.6303
_cell_angle_alpha 90.00
_cell_angle_beta 90.00
_cell_angle_gamma 90.00
_space_group_name_H-M_alt 'P n m a'
_space_group_IT_number 62
loop_
_space_group_symop_operation_xyz
'x,y,z'
'-x,-y,-z'
'-x+1/2,-y,z+1/2'
'x+1/2,y,-z+1/2'
'x+1/2,-y+1/2,-z+1/2'
'-x+1/2,y+1/2,z+1/2'
'-x,y+1/2,-z'
'x,-y+1/2,z'
loop_
_atom_site_label
_atom_site_fract_x
_atom_site_fract_y
_atom_site_fract_z
_atom_site_occupancy
Sm1 0.0087 0.0925 0.1801 1
Sm2 0.1610 0.1220 0.6673 1
Sm3 0.1773 0.7500 0.5117 1
Rh1 0.0432 0.7500 0.1021 1
Rh2 0.1800 0.5399 0.4667 1
Rh3 0.1943 0.2500 0.3537 1
```

Structure and simulated XRD peak list of Mg3In2Ag8 (a cell relaxed with PBE; a wavelength of 1.5418 Å).

Top 6 peaks for 10° ≤ 2θ ≤ 90°, sorted by position:
index  2θ (°)  I_rel
0 0 6  17.19  45
1 1 3  33.68  47
0 1 11  37.08  83
2 0 2  38.18  100
1 1 9  42.03  37
1 2 11  61.03  35

```
data_Mg3In2Ag8
_cell_length_a 5.5081
_cell_length_b 5.5081
_cell_length_c 30.9550
_cell_angle_alpha 90.00
_cell_angle_beta 90.00
_cell_angle_gamma 120.00
_space_group_name_H-M_alt 'R -3 m'
_space_group_IT_number 166
_space_group_name_Hall '-R 3 2"'
loop_
_atom_site_label
_atom_site_fract_x
_atom_site_fract_y
_atom_site_fract_z
_atom_site_occupancy
Mg1 0.0000 0.0000 0.0000 1
Mg2 0.0000 0.0000 0.1847 1
In1 0.0000 0.0000 0.3621 1
Ag1 0.0000 0.0000 0.2730 1
Ag2 0.0014 0.5007 0.7741 1
```

Structure and simulated XRD peak list of Pm2NdSm3N6 (a cell relaxed with PBE; a wavelength of 1.5418 Å).

Top 6 peaks for 10° ≤ 2θ ≤ 90°, sorted by position:
index  2θ (°)  I_rel
3 1 0  30.34  100
6 0 0  35.18  74
5 1 2  50.60  51
9 1 0  60.15  46
8 2 2  82.38  19
11 1 2  85.02  23

```
data_Pm2NdSm3N6
_cell_length_a 15.7213
_cell_length_b 3.6088
_cell_length_c 7.2169
_cell_angle_alpha 90.00
_cell_angle_beta 103.28
_cell_angle_gamma 90.00
_space_group_name_H-M_alt 'C 1 2/m 1'
_space_group_IT_number 12
loop_
_space_group_symop_operation_xyz
'x,y,z'
'-x,-y,-z'
'-x,y,-z'
'x,-y,z'
'x+1/2,y+1/2,z'
'-x+1/2,-y+1/2,-z'
'-x+1/2,y+1/2,-z'
'x+1/2,-y+1/2,z'
loop_
_atom_site_label
_atom_site_fract_x
_atom_site_fract_y
_atom_site_fract_z
_atom_site_occupancy
Pm1 0.1669 0.0000 0.3339 1
Nd1 0.0000 0.5000 0.0000 1
Sm1 0.0000 0.5000 0.5000 1
Sm2 0.1670 0.0000 0.8331 1
N1 0.9998 0.0000 0.2528 1
N2 0.1666 0.5000 0.5841 1
N3 0.1679 0.5000 0.0830 1
```

Structure and simulated XRD peak list of Pr2DyHo4Mg (a cell relaxed with PBE; a wavelength of 1.5418 Å).

Top 6 peaks for 10° ≤ 2θ ≤ 90°, sorted by position:
index  2θ (°)  I_rel
1 1 2  30.88  100
0 0 4  35.34  17
2 0 0  36.05  33
2 0 4  51.37  24
1 1 6  60.68  15
3 1 2  61.68  14

```
data_Pr2DyHo4Mg
_cell_length_a 4.9775
_cell_length_b 4.9884
_cell_length_c 10.1604
_cell_angle_alpha 90.00
_cell_angle_beta 90.00
_cell_angle_gamma 90.00
_space_group_name_H-M_alt 'P m m m'
_space_group_IT_number 47
loop_
_space_group_symop_operation_xyz
'x,y,z'
'-x,-y,-z'
'-x,-y,z'
'x,y,-z'
'x,-y,-z'
'-x,y,z'
'-x,y,-z'
'x,-y,z'
loop_
_atom_site_label
_atom_site_fract_x
_atom_site_fract_y
_atom_site_fract_z
_atom_site_occupancy
Pr1 0.0000 0.0000 0.0000 1
Pr2 0.5000 0.5000 0.5000 1
Dy1 0.0000 0.0000 0.5000 1
Ho1 0.0000 0.5000 0.2494 1
Ho2 0.5000 0.0000 0.2495 1
Mg1 0.5000 0.5000 0.0000 1
```